Entry 1:
Diffraction record for La2CuSe4O12. The X-ray diffraction stick pattern is calculated, not measured: it uses a crystal structure in the Materials Project, relaxed with PBE and Cu Kα (λ = 1.5418 Å).
No peak broadening, texture or thermal motion is included.

Principal peaks in the range 2θ from 10° to 80°, sorted by position:
15.0 deg, I = 39.0; 26.2 deg, I = 70.2; 26.8 deg, I = 93.5; 27.2 deg, I = 99.1; 27.6 deg, I = 66.9; 29.0 deg, I = 64.6; 29.8 deg, I = 51.3; 30.6 deg, I = 100.0; 44.7 deg, I = 55.2; 45.3 deg, I = 49.9

Cell and atoms:
Lattice parameters (Å, degrees): 10.897 7.213 8.461 90.00 110.36 90.00
Fractional positions:
La 0.086 0.166 0.240
La 0.086 0.334 0.740
La 0.914 0.666 0.260
La 0.914 0.834 0.760
Cu 0.500 0.000 0.500
Cu 0.500 0.500 0.000
Se 0.184 0.679 0.132
Se 0.184 0.821 0.632
Se 0.372 0.175 0.130
Se 0.372 0.325 0.630
Se 0.628 0.675 0.370
Se 0.628 0.825 0.870
Se 0.816 0.179 0.368
Se 0.816 0.321 0.868
O 0.057 0.657 0.591
O 0.057 0.843 0.091
O 0.112 0.511 0.219
O 0.112 0.989 0.719
O 0.154 0.614 0.928
O 0.154 0.886 0.428
O 0.207 0.219 0.034
O 0.207 0.281 0.534
O 0.357 0.129 0.327
O 0.357 0.371 0.827
O 0.444 0.108 0.674
O 0.444 0.392 0.174
O 0.556 0.608 0.826
O 0.556 0.892 0.326
O 0.643 0.629 0.173
O 0.643 0.871 0.673
O 0.793 0.719 0.466
O 0.793 0.781 0.966
O 0.846 0.114 0.572
O 0.846 0.386 0.072
O 0.888 0.011 0.281
O 0.888 0.489 0.781
O 0.943 0.157 0.909
O 0.943 0.343 0.409

Entry 2:
Diffraction record for LaCu2SeO2. The X-ray diffraction stick pattern is calculated, not measured: it uses a crystal structure in the Materials Project, relaxed with PBE and Cu Kα (λ = 1.5418 Å).
No peak broadening, texture or thermal motion is included.

Principal peaks in the range 2θ from 10° to 80°, sorted by position:
14.7 deg, I = 9.0; 22.1 deg, I = 100.0; 26.7 deg, I = 8.8; 31.5 deg, I = 49.7; 37.3 deg, I = 10.1; 45.1 deg, I = 19.4; 50.8 deg, I = 38.5; 56.1 deg, I = 17.1; 65.7 deg, I = 11.4; 70.3 deg, I = 16.6

Cell and atoms:
Lattice parameters (Å, degrees): 4.018 4.018 12.058 90.00 90.00 90.00
Fractional positions:
La 0.000 0.000 0.000
Cu 0.000 0.000 0.319
Cu 0.000 0.000 0.681
Se 0.000 0.000 0.500
O 0.000 0.000 0.171
O 0.000 0.000 0.829

Entry 3:
Diffraction record for La4Cu3SeO12. The X-ray diffraction stick pattern is calculated, not measured: it uses a crystal structure in the Materials Project, relaxed with PBE and Cu Kα (λ = 1.5418 Å).
No peak broadening, texture or thermal motion is included.

Principal peaks in the range 2θ from 10° to 80°, sorted by position:
22.7 deg, I = 7.0; 32.4 deg, I = 100.0; 39.9 deg, I = 12.9; 46.4 deg, I = 31.5; 52.3 deg, I = 3.8; 57.7 deg, I = 38.3; 67.7 deg, I = 18.5; 72.5 deg, I = 2.1; 77.1 deg, I = 16.5

Cell and atoms:
Lattice parameters (Å, degrees): 6.778 6.778 6.778 109.47 109.47 109.47
Fractional positions:
La 0.000 0.000 0.500
La 0.000 0.500 0.000
La 0.500 0.000 0.000
La 0.500 0.500 0.500
Cu 0.000 0.500 0.500
Cu 0.500 0.000 0.500
Cu 0.500 0.500 0.000
Se 0.000 0.000 0.000
O 0.000 0.233 0.233
O 0.000 0.767 0.767
O 0.233 0.000 0.233
O 0.233 0.233 0.000
O 0.250 0.500 0.750
O 0.250 0.750 0.500
O 0.500 0.250 0.750
O 0.500 0.750 0.250
O 0.750 0.250 0.500
O 0.750 0.500 0.250
O 0.767 0.000 0.767
O 0.767 0.767 0.000

Entry 4:
Diffraction record for La2CuSnO6. The X-ray diffraction stick pattern is calculated, not measured: it uses a crystal structure in the Materials Project, relaxed with PBE and Cu Kα (λ = 1.5418 Å).
No peak broadening, texture or thermal motion is included.

Principal peaks in the range 2θ from 10° to 80°, sorted by position:
30.1 deg, I = 45.4; 30.7 deg, I = 100.0; 31.2 deg, I = 45.4; 32.3 deg, I = 93.6; 41.5 deg, I = 26.7; 46.3 deg, I = 48.4; 54.1 deg, I = 17.4; 56.2 deg, I = 18.0; 56.9 deg, I = 19.8; 57.2 deg, I = 17.4

Cell and atoms:
Lattice parameters (Å, degrees): 7.856 7.845 8.716 90.00 91.91 90.00
Fractional positions:
La 0.203 0.250 0.246
La 0.229 0.250 0.806
La 0.285 0.750 0.773
La 0.286 0.750 0.210
La 0.714 0.250 0.790
La 0.715 0.250 0.227
La 0.771 0.750 0.194
La 0.797 0.750 0.754
Cu 0.000 0.000 0.000
Cu 0.000 0.500 0.000
Cu 0.500 0.000 0.000
Cu 0.500 0.500 0.000
Sn 0.000 0.000 0.500
Sn 0.000 0.500 0.500
Sn 0.500 0.000 0.500
Sn 0.500 0.500 0.500
O 0.036 0.750 0.030
O 0.056 0.557 0.727
O 0.056 0.943 0.727
O 0.080 0.250 0.546
O 0.248 0.542 0.418
O 0.248 0.958 0.418
O 0.249 0.036 0.040
O 0.249 0.464 0.040
O 0.438 0.054 0.723
O 0.438 0.446 0.723
O 0.470 0.750 0.993
O 0.478 0.250 0.411
O 0.522 0.750 0.589
O 0.530 0.250 0.007
O 0.562 0.554 0.277
O 0.562 0.946 0.277
O 0.751 0.536 0.960
O 0.751 0.964 0.960
O 0.752 0.042 0.582
O 0.752 0.458 0.582
O 0.920 0.750 0.454
O 0.944 0.057 0.273
O 0.944 0.443 0.273
O 0.964 0.250 0.970

Entry 5:
Diffraction record for SrLa2Cu2O6. The X-ray diffraction stick pattern is calculated, not measured: it uses a crystal structure in the Materials Project, relaxed with PBE and Cu Kα (λ = 1.5418 Å).
No peak broadening, texture or thermal motion is included.

Principal peaks in the range 2θ from 10° to 80°, sorted by position:
23.4 deg, I = 9.6; 26.6 deg, I = 20.5; 32.2 deg, I = 100.0; 32.7 deg, I = 68.0; 39.3 deg, I = 20.5; 42.8 deg, I = 21.1; 46.8 deg, I = 39.2; 58.0 deg, I = 37.2; 68.4 deg, I = 11.6; 77.9 deg, I = 11.0

Cell and atoms:
Lattice parameters (Å, degrees): 10.332 10.332 10.332 158.36 158.36 30.78
Fractional positions:
Sr 0.000 0.000 0.000
La 0.177 0.177 0.000
La 0.823 0.823 0.000
Cu 0.411 0.411 0.000
Cu 0.589 0.589 0.000
O 0.089 0.589 0.500
O 0.293 0.293 0.000
O 0.411 0.911 0.500
O 0.589 0.089 0.500
O 0.707 0.707 0.000
O 0.911 0.411 0.500

Entry 6:
Diffraction record for SrLa3Cu2O8. The X-ray diffraction stick pattern is calculated, not measured: it uses a crystal structure in the Materials Project, relaxed with PBE and Cu Kα (λ = 1.5418 Å).
No peak broadening, texture or thermal motion is included.

Principal peaks in the range 2θ from 10° to 80°, sorted by position:
24.4 deg, I = 16.4; 31.2 deg, I = 100.0; 33.3 deg, I = 64.9; 41.3 deg, I = 12.5; 41.8 deg, I = 19.0; 43.5 deg, I = 24.2; 47.9 deg, I = 32.7; 54.1 deg, I = 13.2; 58.2 deg, I = 34.6; 65.0 deg, I = 11.5

Cell and atoms:
Lattice parameters (Å, degrees): 5.375 7.087 7.087 44.57 90.00 90.00
Fractional positions:
Sr 0.000 0.000 0.000
La 0.000 0.281 0.281
La 0.500 0.502 0.502
La 0.500 0.783 0.783
Cu 0.000 0.642 0.642
Cu 0.500 0.137 0.137
O 0.000 0.459 0.459
O 0.000 0.811 0.811
O 0.255 0.397 0.892
O 0.255 0.892 0.397
O 0.500 0.325 0.325
O 0.500 0.960 0.960
O 0.745 0.397 0.892
O 0.745 0.892 0.397

Entry 7:
Diffraction record for Sr3LaCu4O8. The X-ray diffraction stick pattern is calculated, not measured: it uses a crystal structure in the Materials Project, relaxed with PBE and Cu Kα (λ = 1.5418 Å).
No peak broadening, texture or thermal motion is included.

Principal peaks in the range 2θ from 10° to 80°, sorted by position:
32.1 deg, I = 16.4; 32.4 deg, I = 15.0; 33.2 deg, I = 8.3; 33.4 deg, I = 100.0; 38.2 deg, I = 9.9; 40.7 deg, I = 11.1; 46.3 deg, I = 14.6; 49.7 deg, I = 12.8; 58.1 deg, I = 9.6; 58.4 deg, I = 8.3

Cell and atoms:
Lattice parameters (Å, degrees): 3.667 11.058 11.144 90.00 90.00 90.00
Fractional positions:
Sr 0.000 0.006 0.000
Sr 0.000 0.218 0.728
Sr 0.000 0.488 0.937
Sr 0.000 0.512 0.437
Sr 0.000 0.782 0.228
Sr 0.000 0.994 0.500
La 0.000 0.282 0.208
La 0.000 0.718 0.708
Cu 0.500 0.035 0.256
Cu 0.500 0.247 0.467
Cu 0.500 0.248 0.968
Cu 0.500 0.462 0.686
Cu 0.500 0.538 0.186
Cu 0.500 0.752 0.468
Cu 0.500 0.753 0.967
Cu 0.500 0.965 0.756
O 0.000 0.064 0.270
O 0.000 0.456 0.668
O 0.000 0.544 0.168
O 0.000 0.936 0.770
O 0.500 0.108 0.867
O 0.500 0.135 0.585
O 0.500 0.153 0.114
O 0.500 0.355 0.831
O 0.500 0.357 0.344
O 0.500 0.385 0.076
O 0.500 0.615 0.576
O 0.500 0.643 0.844
O 0.500 0.645 0.331
O 0.500 0.847 0.614
O 0.500 0.865 0.085
O 0.500 0.892 0.367

Entry 8:
Diffraction record for Sr2La2Tl2Cu3O10. The X-ray diffraction stick pattern is calculated, not measured: it uses a crystal structure in the Materials Project, relaxed with PBE and Cu Kα (λ = 1.5418 Å).
No peak broadening, texture or thermal motion is included.

Principal peaks in the range 2θ from 10° to 80°, sorted by position:
23.7 deg, I = 7.1; 25.7 deg, I = 9.4; 28.6 deg, I = 13.6; 32.0 deg, I = 100.0; 44.6 deg, I = 7.2; 45.8 deg, I = 22.7; 57.0 deg, I = 22.2; 57.1 deg, I = 6.7; 66.8 deg, I = 6.9; 75.9 deg, I = 12.1

Cell and atoms:
Lattice parameters (Å, degrees): 17.956 17.956 17.956 167.33 167.33 17.96
Fractional positions:
Sr 0.147 0.147 0.000
Sr 0.853 0.853 0.000
La 0.049 0.049 0.000
La 0.951 0.951 0.000
Tl 0.281 0.281 0.000
Tl 0.719 0.719 0.000
Cu 0.404 0.404 0.000
Cu 0.500 0.500 0.000
Cu 0.596 0.596 0.000
O 0.000 0.500 0.500
O 0.091 0.591 0.500
O 0.220 0.220 0.000
O 0.342 0.342 0.000
O 0.409 0.909 0.500
O 0.500 0.000 0.500
O 0.591 0.091 0.500
O 0.658 0.658 0.000
O 0.780 0.780 0.000
O 0.909 0.409 0.500

Entry 9:
Diffraction record for SrLaTlCuO5. The X-ray diffraction stick pattern is calculated, not measured: it uses a crystal structure in the Materials Project, relaxed with PBE and Cu Kα (λ = 1.5418 Å).
No peak broadening, texture or thermal motion is included.

Principal peaks in the range 2θ from 10° to 80°, sorted by position:
25.4 deg, I = 32.6; 30.8 deg, I = 100.0; 33.3 deg, I = 63.7; 40.4 deg, I = 14.1; 45.4 deg, I = 23.0; 47.8 deg, I = 28.5; 53.3 deg, I = 19.0; 56.9 deg, I = 13.2; 57.9 deg, I = 35.0; 64.3 deg, I = 13.2

Cell and atoms:
Lattice parameters (Å, degrees): 3.808 3.808 8.940 90.00 90.00 90.00
Fractional positions:
Sr 0.000 0.000 0.000
La 0.000 0.000 0.413
Tl 0.500 0.500 0.713
Cu 0.500 0.500 0.208
O 0.000 0.000 0.695
O 0.000 0.500 0.227
O 0.500 0.000 0.227
O 0.500 0.500 0.478
O 0.500 0.500 0.947

Entry 10:
Diffraction record for Sr2La14Zn3Cu5O32. The X-ray diffraction stick pattern is calculated, not measured: it uses a crystal structure in the Materials Project, relaxed with PBE and Cu Kα (λ = 1.5418 Å).
No peak broadening, texture or thermal motion is included.

Principal peaks in the range 2θ from 10° to 80°, sorted by position:
24.0 deg, I = 18.3; 31.0 deg, I = 100.0; 32.2 deg, I = 32.4; 33.2 deg, I = 32.3; 41.8 deg, I = 20.2; 43.6 deg, I = 11.7; 46.9 deg, I = 31.8; 54.9 deg, I = 10.2; 56.7 deg, I = 13.5; 57.9 deg, I = 17.3

Cell and atoms:
Lattice parameters (Å, degrees): 5.562 5.402 25.941 90.00 90.17 90.00
Fractional positions:
Sr 0.000 0.000 0.000
Sr 0.491 0.000 0.247
La 0.008 0.000 0.498
La 0.010 0.500 0.749
La 0.014 0.500 0.248
La 0.475 0.500 0.001
La 0.478 0.000 0.750
La 0.482 0.500 0.498
La 0.509 0.500 0.139
La 0.509 0.500 0.639
La 0.512 0.000 0.386
La 0.518 0.000 0.893
La 0.979 0.000 0.138
La 0.980 0.500 0.388
La 0.982 0.000 0.638
La 0.985 0.500 0.891
Zn 0.494 0.000 0.568
Zn 0.498 0.500 0.822
Zn 0.996 0.500 0.567
Cu 0.494 0.000 0.069
Cu 0.496 0.500 0.317
Cu 0.994 0.000 0.820
Cu 0.994 0.500 0.068
Cu 0.998 0.000 0.317
O 0.024 0.000 0.226
O 0.053 0.500 0.479
O 0.061 0.500 0.975
O 0.062 0.000 0.724
O 0.239 0.246 0.824
O 0.239 0.754 0.824
O 0.243 0.251 0.326
O 0.243 0.258 0.075
O 0.243 0.742 0.075
O 0.243 0.749 0.326
O 0.247 0.251 0.577
O 0.247 0.749 0.577
O 0.436 0.000 0.478
O 0.438 0.500 0.728
O 0.440 0.500 0.228
O 0.465 0.000 0.980
O 0.541 0.000 0.153
O 0.547 0.500 0.908
O 0.549 0.500 0.411
O 0.555 0.000 0.660
O 0.743 0.259 0.066
O 0.743 0.741 0.066
O 0.745 0.250 0.562
O 0.745 0.750 0.562
O 0.751 0.246 0.811
O 0.751 0.253 0.317
O 0.751 0.747 0.317
O 0.751 0.754 0.811
O 0.926 0.000 0.908
O 0.934 0.500 0.660
O 0.936 0.000 0.413
O 0.942 0.500 0.162

Repeat the tenth record exactly.
Diffraction record for Sr2La14Zn3Cu5O32. The X-ray diffraction stick pattern is calculated, not measured: it uses a crystal structure in the Materials Project, relaxed with PBE and Cu Kα (λ = 1.5418 Å).
No peak broadening, texture or thermal motion is included.

Principal peaks in the range 2θ from 10° to 80°, sorted by position:
24.0 deg, I = 18.3; 31.0 deg, I = 100.0; 32.2 deg, I = 32.4; 33.2 deg, I = 32.3; 41.8 deg, I = 20.2; 43.6 deg, I = 11.7; 46.9 deg, I = 31.8; 54.9 deg, I = 10.2; 56.7 deg, I = 13.5; 57.9 deg, I = 17.3

Cell and atoms:
Lattice parameters (Å, degrees): 5.562 5.402 25.941 90.00 90.17 90.00
Fractional positions:
Sr 0.000 0.000 0.000
Sr 0.491 0.000 0.247
La 0.008 0.000 0.498
La 0.010 0.500 0.749
La 0.014 0.500 0.248
La 0.475 0.500 0.001
La 0.478 0.000 0.750
La 0.482 0.500 0.498
La 0.509 0.500 0.139
La 0.509 0.500 0.639
La 0.512 0.000 0.386
La 0.518 0.000 0.893
La 0.979 0.000 0.138
La 0.980 0.500 0.388
La 0.982 0.000 0.638
La 0.985 0.500 0.891
Zn 0.494 0.000 0.568
Zn 0.498 0.500 0.822
Zn 0.996 0.500 0.567
Cu 0.494 0.000 0.069
Cu 0.496 0.500 0.317
Cu 0.994 0.000 0.820
Cu 0.994 0.500 0.068
Cu 0.998 0.000 0.317
O 0.024 0.000 0.226
O 0.053 0.500 0.479
O 0.061 0.500 0.975
O 0.062 0.000 0.724
O 0.239 0.246 0.824
O 0.239 0.754 0.824
O 0.243 0.251 0.326
O 0.243 0.258 0.075
O 0.243 0.742 0.075
O 0.243 0.749 0.326
O 0.247 0.251 0.577
O 0.247 0.749 0.577
O 0.436 0.000 0.478
O 0.438 0.500 0.728
O 0.440 0.500 0.228
O 0.465 0.000 0.980
O 0.541 0.000 0.153
O 0.547 0.500 0.908
O 0.549 0.500 0.411
O 0.555 0.000 0.660
O 0.743 0.259 0.066
O 0.743 0.741 0.066
O 0.745 0.250 0.562
O 0.745 0.750 0.562
O 0.751 0.246 0.811
O 0.751 0.253 0.317
O 0.751 0.747 0.317
O 0.751 0.754 0.811
O 0.926 0.000 0.908
O 0.934 0.500 0.660
O 0.936 0.000 0.413
O 0.942 0.500 0.162